# CdAgI4
Calculated X-ray powder pattern, Cu Kα X-rays. Input: a crystal structure in Alexandria, relaxed with GGA-PBE.
Peak positions follow from Bragg's law for the DFT cell and can differ from measured ones.

Largest 6 diffraction maxima, in order of falling intensity, 10° ≤ 2θ ≤ 90°:
two_theta	I (rel.)	h k l
18.29	100.0	0 0 2
36.49	68.8	2 2 2
31.29	52.3	2 2 0
48.82	29.3	4 0 2
49.28	28.6	2 2 4
10.94	19.4	1 0 0

Structure:
Lattice parameters (Å, degrees): 8.0844 8.0844 9.6996 90.00 90.00 90.00
Atoms (fractional coordinates):
Cd 0.0000 0.5000 0.0000
Cd 0.5000 0.0000 0.5000
Ag 0.0000 0.0000 0.0000
Ag 0.0000 0.0000 0.5000
I 0.2437 0.2459 0.5000
I 0.2437 0.7541 0.5000
I 0.2459 0.2437 0.0000
I 0.2459 0.7563 0.0000
I 0.7541 0.2437 0.0000
I 0.7541 0.7563 0.0000
I 0.7563 0.2459 0.5000
I 0.7563 0.7541 0.5000